(1)
# Zn4Pd5Au2
Theoretical powder X-ray diffraction pattern, Cu Kα (λ = 1.5418 Å). Input: DFT lattice parameters and positions (PBE).
Lines closer than 0.1° are merged.

Principal peaks in the range 10° ≤ 2θ ≤ 90°, most intense first:
- 2θ 39.64, rel. 100
- 2θ 39.96, rel. 100
- 2θ 42.73, rel. 41
- 2θ 44.45, rel. 38
- 2θ 63.36, rel. 25
- 2θ 51.35, rel. 22
- 2θ 70.21, rel. 16
- 2θ 78.60, rel. 15

Structural model:
```
11
Lattice="4.076 0.000 0.000 2.037 4.610 0.000 0.007 1.576 8.986" Properties=species:S:1:pos:R:3 pbc="T T T"
Zn 1.022 2.340 3.003
Zn 3.059 4.430 2.016
Zn 3.063 1.757 6.970
Zn 5.099 3.846 5.983
Pd 1.024 2.501 8.440
Pd 1.028 1.257 5.387
Pd 3.061 3.093 4.493
Pd 5.093 4.929 3.598
Pd 5.097 3.686 0.545
Au 3.062 4.382 7.682
Au 3.059 1.805 1.304
```

=====

(2)
# ZnPd3Au
Theoretical powder X-ray diffraction pattern, Cu Kα (λ = 1.5418 Å). Input: DFT lattice parameters and positions (PBE).
Lines closer than 0.1° are merged.

Principal peaks in the range 10° ≤ 2θ ≤ 90°, most intense first:
- 2θ 39.38, rel. 100
- 2θ 39.30, rel. 98
- 2θ 45.29, rel. 32
- 2θ 45.74, rel. 32
- 2θ 46.19, rel. 31
- 2θ 66.32, rel. 21
- 2θ 66.69, rel. 20
- 2θ 79.63, rel. 12

Structural model:
```
20
Lattice="6.225 -4.005 0.000 6.225 4.005 0.000 -6.177 0.000 6.262" Properties=species:S:1:pos:R:3 pbc="T T T"
Zn 1.593 3.077 4.697
Zn 4.681 1.065 1.566
Zn 1.593 -1.065 4.697
Zn 4.681 -3.077 1.566
Pd 2.831 3.003 2.214
Pd 2.196 1.013 0.294
Pd 6.531 3.003 0.917
Pd -0.240 1.007 5.323
Pd -0.893 -1.013 3.425
Pd 3.425 1.007 4.070
Pd 2.849 -1.007 2.192
Pd 7.166 1.013 2.837
Pd 6.514 -1.007 0.939
Pd -0.257 -3.003 5.345
Pd 4.078 -1.013 5.968
Pd 3.442 -3.003 4.048
Au 0.963 0.982 2.805
Au -2.125 -0.982 5.937
Au 8.399 0.982 0.326
Au 5.310 -0.982 3.457
```

=====

(3)
# Zn3Pd8Au2
Theoretical powder X-ray diffraction pattern, Cu Kα (λ = 1.5418 Å). Input: DFT lattice parameters and positions (PBE).
Lines closer than 0.1° are merged.

Principal peaks in the range 10° ≤ 2θ ≤ 90°, most intense first:
- 2θ 41.31, rel. 100
- 2θ 41.54, rel. 98
- 2θ 40.28, rel. 55
- 2θ 40.15, rel. 55
- 2θ 58.18, rel. 37
- 2θ 74.07, rel. 33
- 2θ 73.92, rel. 17
- 2θ 73.58, rel. 16

Structural model:
```
13
Lattice="6.914 0.000 0.000 0.000 4.478 0.000 -3.038 0.000 6.825" Properties=species:S:1:pos:R:3 pbc="T T T"
Zn 0.000 0.000 0.000
Zn -0.869 2.239 6.368
Zn 4.746 2.239 0.456
Pd 0.253 2.239 1.416
Pd -1.204 0.000 4.948
Pd 2.436 0.000 0.895
Pd 0.864 2.239 4.470
Pd 3.013 2.239 2.354
Pd 1.441 0.000 5.930
Pd 5.081 0.000 1.877
Pd 3.624 2.239 5.409
Au 0.650 0.000 2.958
Au 3.227 0.000 3.867
```

=====

(4)
# Zn2Pd2Au5
Theoretical powder X-ray diffraction pattern, Cu Kα (λ = 1.5418 Å). Input: DFT lattice parameters and positions (PBE).
Lines closer than 0.1° are merged.

Principal peaks in the range 10° ≤ 2θ ≤ 90°, most intense first:
- 2θ 38.74, rel. 100
- 2θ 42.95, rel. 79
- 2θ 45.39, rel. 76
- 2θ 34.32, rel. 71
- 2θ 28.78, rel. 64
- 2θ 37.59, rel. 37
- 2θ 61.33, rel. 28
- 2θ 45.49, rel. 26

Structural model:
```
18
Lattice="-6.966 3.760 3.102 6.966 -3.760 3.102 6.966 3.760 -3.102" Properties=species:S:1:pos:R:3 pbc="T T T"
Zn 0.000 0.000 0.000
Zn 6.966 0.000 0.000
Zn 3.483 3.503 2.824
Zn -3.483 4.018 2.824
Pd 1.942 -0.223 1.684
Pd 5.024 -0.223 1.684
Pd 5.024 3.984 -1.418
Pd 8.907 0.223 1.684
Au 3.483 -1.386 3.782
Au 2.090 2.403 0.853
Au 4.876 2.403 0.853
Au -0.648 2.487 0.822
Au 7.613 2.487 0.822
Au 3.483 5.146 0.680
Au 0.648 5.034 0.822
Au -0.648 1.274 3.924
Au 2.090 1.357 3.955
Au 4.876 1.357 3.955
```

=====

(5)
# Zn8PdAu3
Theoretical powder X-ray diffraction pattern, Cu Kα (λ = 1.5418 Å). Input: DFT lattice parameters and positions (PBE).
Lines closer than 0.1° are merged.

Principal peaks in the range 10° ≤ 2θ ≤ 90°, most intense first:
- 2θ 41.34, rel. 100
- 2θ 38.20, rel. 74
- 2θ 40.69, rel. 48
- 2θ 40.28, rel. 48
- 2θ 40.40, rel. 43
- 2θ 41.93, rel. 42
- 2θ 15.04, rel. 39
- 2θ 28.93, rel. 38

Structural model:
```
12
Lattice="5.506 0.000 0.000 -1.789 6.173 0.000 -1.856 -2.957 5.889" Properties=species:S:1:pos:R:3 pbc="T T T"
Zn 0.000 0.000 0.000
Zn -2.342 2.826 3.652
Zn 0.390 -1.093 2.650
Zn 0.396 2.894 0.703
Zn -0.093 1.031 4.578
Zn 0.807 -1.937 5.497
Zn 1.498 5.105 1.576
Zn 2.911 -0.100 4.240
Pd -1.023 1.115 2.197
Au 1.732 1.063 2.074
Au 0.531 3.454 3.504
Au 3.324 3.414 0.676
```

=====

(6)
# Zn3Pd8Au2
Theoretical powder X-ray diffraction pattern, Cu Kα (λ = 1.5418 Å). Input: DFT lattice parameters and positions (PBE).
Lines closer than 0.1° are merged.

Principal peaks in the range 10° ≤ 2θ ≤ 90°, most intense first:
- 2θ 40.02, rel. 100
- 2θ 35.86, rel. 50
- 2θ 41.31, rel. 48
- 2θ 44.22, rel. 29
- 2θ 42.53, rel. 27
- 2θ 73.61, rel. 26
- 2θ 23.16, rel. 25
- 2θ 42.87, rel. 24

Structural model:
```
13
Lattice="5.475 -3.841 0.000 5.475 3.841 0.000 -1.270 0.000 5.101" Properties=species:S:1:pos:R:3 pbc="T T T"
Zn 0.000 0.000 0.000
Zn 4.840 2.066 2.551
Zn 4.840 -2.066 2.551
Pd 1.796 1.444 1.163
Pd 0.799 0.000 3.601
Pd 1.796 -1.444 1.163
Pd 3.424 0.000 2.910
Pd 6.256 0.000 2.192
Pd 7.884 1.444 3.939
Pd 8.882 0.000 1.500
Pd 7.884 -1.444 3.939
Au 4.138 0.000 0.387
Au 5.543 0.000 4.715
```